1.
Theoretical powder XRD pattern of SmCoC for copper Kα, from a DFT-relaxed cell (GGA-PBE, Alexandria).
Lines closer than 0.1° are merged.

Main lines, most intense first (2θ = 5–70°):
| d (Å) | 2theta | I_rel | index |
| --- | --- | --- | --- |
| 2.571 | 34.90 | 100 | 1 0 2 |
| 1.486 | 62.52 | 25 | 2 1 2 |
| 3.642 | 24.44 | 14 | 1 0 0 |
| 1.821 | 50.09 | 13 | 2 0 0 |
| 1.482 | 62.70 | 11 | 1 1 4 |
| 2.099 | 43.09 | 8 | 1 1 2 |

Atomic structure:
Cell lengths 3.6423, 3.6423, 7.2459 Å; angles 90.00, 90.00, 90.00 degrees
Positions (direct):
Sm (0.0000, 0.0000, 0.2500)
Sm (0.0000, 0.0000, 0.7500)
Co (0.5000, 0.5000, 0.0000)
Co (0.5000, 0.5000, 0.5000)
C (0.0000, 0.5000, 0.0000)
C (0.5000, 0.0000, 0.5000)

***

2.
Theoretical powder XRD pattern of Sm2CoC for copper Kα, from a DFT-relaxed cell (GGA-PBE, Alexandria).
Lines closer than 0.1° are merged.

Main lines, most intense first (2θ = 5–70°):
| d (Å) | 2theta | I_rel | index |
| --- | --- | --- | --- |
| 2.825 | 31.68 | 100 | 4 0 -2 |
| 2.580 | 34.77 | 60 | 1 1 -2 |
| 2.158 | 41.86 | 39 | 4 0 2 |
| 2.043 | 44.34 | 30 | 3 1 2 |
| 3.514 | 25.35 | 28 | 1 1 0 |
| 3.345 | 26.65 | 24 | 4 0 0 |

Atomic structure:
Cell lengths 13.8674, 3.6416, 7.3130 Å; angles 90.00, 105.23, 90.00 degrees
Positions (direct):
Sm (0.1271, 0.0015, 0.0634)
Sm (0.1271, 0.9985, 0.5634)
Sm (0.3729, 0.4985, 0.9366)
Sm (0.3729, 0.5015, 0.4366)
Sm (0.6271, 0.4985, 0.5634)
Sm (0.6271, 0.5015, 0.0634)
Sm (0.8729, 0.0015, 0.4366)
Sm (0.8729, 0.9985, 0.9366)
Co (0.0000, 0.5002, 0.2500)
Co (0.0000, 0.4998, 0.7500)
Co (0.5000, 0.0002, 0.2500)
Co (0.5000, 0.9998, 0.7500)
C (0.0000, 0.0003, 0.2500)
C (0.0000, 0.9997, 0.7500)
C (0.5000, 0.5003, 0.2500)
C (0.5000, 0.4997, 0.7500)